EuGeO3: computed powder X-ray diffraction pattern (CuKα), based on a structure optimized by DFT (PBE).
Intensities are scaled so that the largest is 100.

Principal peaks in the range 2θ = 15–90°, by angle:
- 2θ 22.8, I 9
- 2θ 32.5, I 100
- 2θ 40.0, I 13
- 2θ 46.6, I 30
- 2θ 57.9, I 39
- 2θ 68.0, I 18
- 2θ 77.4, I 17
- 2θ 86.4, I 6

Crystal structure
```
data_EuGeO3
_cell_length_a 3.900
_cell_length_b 3.900
_cell_length_c 3.900
_cell_angle_alpha 90.00
_cell_angle_beta 90.00
_cell_angle_gamma 90.00
_symmetry_space_group_name_H-M 'P m -3 m'
_symmetry_Int_Tables_number 221
_symmetry_space_group_name_Hall '-P 4 2 3'
loop_
_atom_site_label
_atom_site_fract_x
_atom_site_fract_y
_atom_site_fract_z
Eu1 0.000 0.000 0.000
Ge1 0.500 0.500 0.500
O1 0.000 0.500 0.500
```